# AcTbEuPb
Theoretical X-ray diffraction stick pattern, Cu Kα (λ = 1.5418 Å). Input: a PBE-relaxed structure.

Cell and atoms:
Cell: 8.1236 8.1236 8.1236 Å, 90.00 90.00 90.00°
Space group F-43m (No. 216)
Inequivalent atoms, fractional coordinates:
Ac: 0.0000 0.0000 0.0000 x4
Tb: 0.2500 0.2500 0.2500 x4
Eu: 0.2500 0.2500 0.7500 x4
Pb: 0.0000 0.0000 0.5000 x4

Principal peaks in the range 2θ = 10–90°, by angle:
| hkl | two_theta | d/Å | Rel. int. |
| --- | --- | --- | --- |
| 2 0 0 | 21.9 | 4.062 | 3 |
| 2 2 0 | 31.1 | 2.872 | 100 |
| 2 2 2 | 38.4 | 2.345 | 1 |
| 4 0 0 | 44.6 | 2.031 | 19 |
| 4 2 0 | 50.2 | 1.816 | 1 |
| 4 2 2 | 55.4 | 1.658 | 40 |
| 4 4 0 | 64.9 | 1.436 | 13 |
| 6 0 0 | 69.4 | 1.354 | 1 |
| 6 2 0 | 73.8 | 1.284 | 17 |
| 4 4 4 | 82.2 | 1.173 | 4 |


# TlIn3Ga3
Theoretical X-ray diffraction stick pattern, Cu Kα (λ = 1.5418 Å). Input: a PBE-relaxed structure.

Cell and atoms:
Cell: 6.9975 6.9975 24.7322 Å, 90.00 90.00 120.00°
Space group R-3 (No. 148, hexagonal axes)
Inequivalent atoms, fractional coordinates:
Tl: 0.0000 0.0000 0.1644 x6
In: 0.0281 0.4342 0.3773 x18
Ga: 0.0116 0.2308 0.5536 x18

Principal peaks in the range 2θ = 10–90°, by angle:
| hkl | two_theta | d/Å | Rel. int. |
| --- | --- | --- | --- |
| 1 1 3 | 27.7 | 3.221 | 78 |
| 1 0 7 | 29.3 | 3.052 | 35 |
| 0 0 9 | 32.5 | 2.752 | 30 |
| 0 2 4 | 32.9 | 2.721 | 39 |
| 2 -1 6 | 33.6 | 2.667 | 100 |
| 2 0 5 | 34.7 | 2.584 | 25 |
| 2 1 1 | 39.5 | 2.281 | 50 |
| 1 2 2 | 40.0 | 2.252 | 29 |
| 1 1 9 | 41.8 | 2.162 | 18 |
| 1 1 12 | 51.5 | 1.776 | 28 |


# NbAlRu5
Theoretical X-ray diffraction stick pattern, Cu Kα (λ = 1.5418 Å). Input: a PBE-relaxed structure.

Cell and atoms:
Cell: 4.1844 4.1844 6.1476 Å, 90.00 90.00 90.00°
Space group P4/mmm (No. 123)
Inequivalent atoms, fractional coordinates:
Nb: 0.0000 0.0000 0.0000 x1
Al: 0.5000 0.5000 0.5000 x1
Ru: 0.0000 0.5000 0.2728 x4
Ru: 0.5000 0.5000 0.0000 x1

Principal peaks in the range 2θ = 10–90°, by angle:
| hkl | two_theta | d/Å | Rel. int. |
| --- | --- | --- | --- |
| 0 0 1 | 14.4 | 6.148 | 12 |
| 1 1 0 | 30.2 | 2.959 | 12 |
| 1 1 1 | 33.6 | 2.666 | 27 |
| 1 1 2 | 42.4 | 2.132 | 100 |
| 2 0 0 | 43.2 | 2.092 | 50 |
| 0 0 4 | 60.2 | 1.537 | 7 |
| 2 2 0 | 62.8 | 1.479 | 16 |
| 2 0 3 | 63.6 | 1.464 | 9 |
| 2 0 4 | 77.0 | 1.239 | 14 |
| 3 1 2 | 78.7 | 1.215 | 31 |